Entry 1:
Diffraction record for Bi8Rh8O27. The powder diffraction line list is theoretical, not measured: it uses a structure optimized by DFT (PBE) and Cu Kα.
Kinematic intensities with the Lorentz-polarization factor, no thermal factor.

Atomic structure:
Cell lengths 12.667, 12.667, 12.667 Å; angles 33.57, 33.57, 33.57 degrees
Sites, in units of the cell vectors:
Bi 0.000 0.000 0.000
Bi 0.249 0.748 0.748
Bi 0.255 0.255 0.742
Bi 0.255 0.742 0.255
Bi 0.495 0.495 0.495
Bi 0.742 0.255 0.255
Bi 0.748 0.249 0.748
Bi 0.748 0.748 0.249
Rh 0.000 0.000 0.499
Rh 0.000 0.499 0.000
Rh 0.249 0.249 0.249
Rh 0.499 0.000 0.000
Rh 0.500 0.500 0.997
Rh 0.500 0.997 0.500
Rh 0.748 0.748 0.748
Rh 0.997 0.500 0.500
O 0.068 0.068 0.068
O 0.082 0.082 0.501
O 0.082 0.501 0.082
O 0.127 0.705 0.705
O 0.207 0.207 0.628
O 0.207 0.628 0.207
O 0.291 0.291 0.875
O 0.291 0.875 0.291
O 0.375 0.790 0.790
O 0.416 0.416 0.999
O 0.416 0.999 0.416
O 0.492 0.918 0.918
O 0.501 0.082 0.082
O 0.555 0.555 0.555
O 0.583 0.583 0.996
O 0.583 0.996 0.583
O 0.628 0.207 0.207
O 0.705 0.127 0.705
O 0.705 0.705 0.127
O 0.790 0.375 0.790
O 0.790 0.790 0.375
O 0.875 0.291 0.291
O 0.918 0.492 0.918
O 0.918 0.918 0.492
O 0.937 0.937 0.937
O 0.996 0.583 0.583
O 0.999 0.416 0.416

The 10 most intense peaks (5 to 70 degrees two-theta), low angle first:
2θ 14.83, I 10; 2θ 28.62, I 6; 2θ 29.92, I 100; 2θ 34.69, I 36; 2θ 37.91, I 8; 2θ 45.57, I 4; 2θ 49.87, I 45; 2θ 52.33, I 3; 2θ 59.26, I 44; 2θ 62.18, I 11


Entry 2:
Diffraction record for HfMg14TiO16. The powder diffraction line list is theoretical, not measured: it uses a structure optimized by DFT (PBE) and Cu Kα.
Kinematic intensities with the Lorentz-polarization factor, no thermal factor.

Atomic structure:
Cell lengths 4.311, 8.630, 8.683 Å; angles 90.00, 90.00, 90.00 degrees
Sites, in units of the cell vectors:
Hf 0.000 0.000 0.000
Mg 0.000 0.000 0.500
Mg 0.000 0.255 0.256
Mg 0.000 0.255 0.744
Mg 0.000 0.500 0.500
Mg 0.000 0.745 0.256
Mg 0.000 0.745 0.744
Mg 0.500 0.000 0.257
Mg 0.500 0.000 0.743
Mg 0.500 0.251 0.500
Mg 0.500 0.257 0.000
Mg 0.500 0.500 0.252
Mg 0.500 0.500 0.748
Mg 0.500 0.743 0.000
Mg 0.500 0.749 0.500
Ti 0.000 0.500 0.000
O 0.000 0.000 0.256
O 0.000 0.000 0.744
O 0.000 0.246 0.000
O 0.000 0.249 0.500
O 0.000 0.500 0.260
O 0.000 0.500 0.740
O 0.000 0.751 0.500
O 0.000 0.754 0.000
O 0.500 0.000 0.000
O 0.500 0.000 0.500
O 0.500 0.250 0.249
O 0.500 0.250 0.751
O 0.500 0.500 0.000
O 0.500 0.500 0.500
O 0.500 0.750 0.249
O 0.500 0.750 0.751

The 10 most intense peaks (5 to 70 degrees two-theta), low angle first:
2θ 10.21, I 84; 2θ 14.47, I 30; 2θ 22.98, I 31; 2θ 23.04, I 30; 2θ 31.06, I 35; 2θ 35.99, I 45; 2θ 41.60, I 51; 2θ 41.89, I 100; 2θ 60.52, I 59; 2θ 60.74, I 29


Entry 3:
Diffraction record for BaGa2Se4. The powder diffraction line list is theoretical, not measured: it uses a structure optimized by DFT (PBE) and Cu Kα.
Kinematic intensities with the Lorentz-polarization factor, no thermal factor.

Atomic structure:
Cell lengths 6.584, 6.584, 11.608 Å; angles 90.00, 90.00, 122.19 degrees
Sites, in units of the cell vectors:
Ba 0.000 0.000 0.250
Ba 0.000 0.000 0.750
Ga 0.258 0.740 0.000
Ga 0.260 0.742 0.500
Ga 0.740 0.258 0.500
Ga 0.742 0.260 0.000
Se 0.000 0.500 0.161
Se 0.000 0.500 0.839
Se 0.147 0.324 0.500
Se 0.324 0.147 0.000
Se 0.500 0.000 0.339
Se 0.500 0.000 0.661
Se 0.676 0.853 0.000
Se 0.853 0.676 0.500

The 10 most intense peaks (5 to 70 degrees two-theta), low angle first:
2θ 15.91, I 39; 2θ 21.73, I 19; 2θ 22.11, I 32; 2θ 28.08, I 65; 2θ 28.19, I 64; 2θ 30.81, I 25; 2θ 31.03, I 24; 2θ 35.75, I 100; 2θ 49.69, I 40; 2θ 53.24, I 39


Entry 4:
Diffraction record for SbClF10. The powder diffraction line list is theoretical, not measured: it uses a structure optimized by DFT (PBE) and Cu Kα.
Kinematic intensities with the Lorentz-polarization factor, no thermal factor.

Atomic structure:
Cell lengths 6.000, 15.439, 8.372 Å; angles 90.00, 90.00, 90.00 degrees
Sites, in units of the cell vectors:
Sb 0.092 0.142 0.250
Sb 0.092 0.358 0.750
Sb 0.908 0.642 0.250
Sb 0.908 0.858 0.750
Cl 0.411 0.661 0.750
Cl 0.411 0.839 0.250
Cl 0.589 0.161 0.750
Cl 0.589 0.339 0.250
F 0.089 0.146 0.023
F 0.089 0.146 0.477
F 0.089 0.354 0.523
F 0.089 0.354 0.977
F 0.105 0.545 0.250
F 0.105 0.955 0.750
F 0.165 0.721 0.250
F 0.165 0.779 0.750
F 0.195 0.600 0.750
F 0.195 0.900 0.250
F 0.284 0.245 0.250
F 0.284 0.255 0.750
F 0.351 0.071 0.250
F 0.351 0.429 0.750
F 0.405 0.086 0.750
F 0.405 0.414 0.250
F 0.410 0.657 0.550
F 0.410 0.657 0.950
F 0.410 0.843 0.050
F 0.410 0.843 0.450
F 0.590 0.157 0.550
F 0.590 0.157 0.950
F 0.590 0.343 0.050
F 0.590 0.343 0.450
F 0.595 0.586 0.750
F 0.595 0.914 0.250
F 0.649 0.571 0.250
F 0.649 0.929 0.750
F 0.716 0.745 0.250
F 0.716 0.755 0.750
F 0.805 0.100 0.750
F 0.805 0.400 0.250
F 0.835 0.221 0.250
F 0.835 0.279 0.750
F 0.895 0.045 0.250
F 0.895 0.455 0.750
F 0.911 0.646 0.023
F 0.911 0.646 0.477
F 0.911 0.854 0.523
F 0.911 0.854 0.977

The 10 most intense peaks (5 to 70 degrees two-theta), low angle first:
2θ 11.46, I 18; 2θ 15.61, I 24; 2θ 19.09, I 23; 2θ 21.23, I 48; 2θ 21.55, I 100; 2θ 23.04, I 31; 2θ 25.16, I 24; 2θ 41.99, I 25; 2θ 43.23, I 16; 2θ 61.86, I 16


Entry 5:
Diffraction record for Re3S4Br. The powder diffraction line list is theoretical, not measured: it uses a structure optimized by DFT (PBE) and Cu Kα.
Kinematic intensities with the Lorentz-polarization factor, no thermal factor.

Atomic structure:
Cell lengths 6.456, 11.667, 11.087 Å; angles 90.00, 115.08, 90.00 degrees
Sites, in units of the cell vectors:
Re 0.036 0.147 0.446
Re 0.036 0.353 0.946
Re 0.042 0.059 0.665
Re 0.042 0.441 0.165
Re 0.311 0.524 0.063
Re 0.311 0.976 0.563
Re 0.689 0.024 0.437
Re 0.689 0.476 0.937
Re 0.958 0.559 0.835
Re 0.958 0.941 0.335
Re 0.964 0.647 0.054
Re 0.964 0.853 0.554
S 0.216 0.710 0.959
S 0.216 0.790 0.459
S 0.267 0.064 0.344
S 0.267 0.436 0.844
S 0.294 0.602 0.259
S 0.294 0.898 0.759
S 0.358 0.164 0.662
S 0.358 0.336 0.162
S 0.642 0.664 0.838
S 0.642 0.836 0.338
S 0.706 0.102 0.241
S 0.706 0.398 0.741
S 0.733 0.564 0.156
S 0.733 0.936 0.656
S 0.784 0.210 0.541
S 0.784 0.290 0.041
Br 0.109 0.135 0.902
Br 0.109 0.365 0.402
Br 0.891 0.635 0.598
Br 0.891 0.865 0.098

The 10 most intense peaks (5 to 70 degrees two-theta), low angle first:
2θ 11.63, I 100; 2θ 15.16, I 37; 2θ 15.87, I 18; 2θ 17.65, I 6; 2θ 31.91, I 11; 2θ 35.93, I 5; 2θ 42.76, I 12; 2θ 43.19, I 5; 2θ 44.10, I 8; 2θ 48.37, I 6


Q: Which formula does entry 2 have?
A: HfMg14TiO16